Simulated powder X-ray diffraction pattern
Compound: MnCuBrO2
Radiation: Cu Kα X-rays
Structure: a DFT-relaxed cell (PBE+U, Alexandria)
Kinematic intensities with the Lorentz-polarization factor, no thermal factor.

Peak list (10 most intense, 5° ≤ 2θ ≤ 70°, most intense first)
| Position (°2θ) | I/Imax |
| --- | --- |
| 33.48 | 100 |
| 34.31 | 57 |
| 49.31 | 36 |
| 60.92 | 33 |
| 28.64 | 32 |
| 30.72 | 20 |
| 45.30 | 17 |
| 59.24 | 13 |
| 25.28 | 12 |
| 42.50 | 9 |

Atomic structure:
Cell lengths 6.381, 6.381, 5.223 Å; angles 90.00, 90.00, 131.60 degrees
Element x y z (fractional)
Mn1 0.108 0.892 0.750
Mn2 0.892 0.108 0.250
Cu1 0.480 0.520 0.750
Cu2 0.520 0.480 0.250
Br1 0.243 0.757 0.250
Br2 0.757 0.243 0.750
O1 0.254 0.254 0.000
O2 0.254 0.254 0.500
O3 0.746 0.746 0.000
O4 0.746 0.746 0.500